No. 1
# LiNi4P3O12
Theoretical powder XRD pattern, Cu Kα (λ = 1.5418 Å). Input: a cell relaxed with PBE+U.

Most intense lines, 10° ≤ 2θ ≤ 90°, by angle:
- 2θ = 21.29°, I = 32
- 2θ = 27.63°, I = 19
- 2θ = 30.61°, I = 16
- 2θ = 33.31°, I = 100
- 2θ = 38.51°, I = 9
- 2θ = 44.41°, I = 20
- 2θ = 52.91°, I = 12
- 2θ = 55.59°, I = 15
- 2θ = 55.94°, I = 23
- 2θ = 66.37°, I = 14

```
data_LiNi4P3O12
_chemical_formula_sum 'Li4 Ni16 P12 O48'
_symmetry_space_group_name_H-M 'I -4 2 d'
_symmetry_Int_Tables_number 122
_symmetry_space_group_name_Hall 'I -4 2bw'
_cell_length_a 6.613
_cell_length_b 6.613
_cell_length_c 18.497
_cell_angle_alpha 90.00
_cell_angle_beta 90.00
_cell_angle_gamma 90.00
loop_
_atom_site_label
_atom_site_type_symbol
_atom_site_fract_x
_atom_site_fract_y
_atom_site_fract_z
Li1 Li 0.000 0.000 0.000
Ni1 Ni 0.000 0.000 0.273
Ni2 Ni 0.245 0.250 0.625
P1 P 0.000 0.000 0.500
P2 P 0.149 0.750 0.125
O1 O 0.001 0.715 0.059
O2 O 0.052 0.195 0.543
O3 O 0.058 0.230 0.354
```

---

No. 2
# Li2NiP3O10
Theoretical powder XRD pattern, Cu Kα (λ = 1.5418 Å). Input: a cell relaxed with PBE+U.

Most intense lines, 10° ≤ 2θ ≤ 90°, by angle:
- 2θ = 19.34°, I = 16
- 2θ = 22.74°, I = 23
- 2θ = 23.11°, I = 19
- 2θ = 28.54°, I = 100
- 2θ = 29.23°, I = 34
- 2θ = 31.20°, I = 16
- 2θ = 32.63°, I = 31
- 2θ = 33.03°, I = 22
- 2θ = 36.20°, I = 17
- 2θ = 42.67°, I = 18

```
data_Li2NiP3O10
_chemical_formula_sum 'Li4 Ni2 P6 O20'
_symmetry_space_group_name_H-M 'P 1 21/m 1'
_symmetry_Int_Tables_number 11
_cell_length_a 4.683
_cell_length_b 8.479
_cell_length_c 9.279
_cell_angle_alpha 90.00
_cell_angle_beta 98.38
_cell_angle_gamma 90.00
loop_
_symmetry_equiv_pos_as_xyz
'x,y,z'
'-x,-y,-z'
'-x,y+1/2,-z'
'x,-y+1/2,z'
loop_
_atom_site_label
_atom_site_type_symbol
_atom_site_fract_x
_atom_site_fract_y
_atom_site_fract_z
Li1 Li 0.023 0.075 0.340
Ni1 Ni 0.000 0.000 0.000
P1 P 0.329 0.250 0.832
P2 P 0.412 0.750 0.457
P3 P 0.467 0.250 0.143
O1 O 0.155 0.098 0.830
O2 O 0.228 0.603 0.470
O3 O 0.250 0.750 0.758
O4 O 0.284 0.100 0.148
O5 O 0.299 0.250 0.447
O6 O 0.429 0.750 0.023
O7 O 0.470 0.750 0.287
```

---

No. 3
# LiNiP2O7
Theoretical powder XRD pattern, Cu Kα (λ = 1.5418 Å). Input: a cell relaxed with PBE+U.

Most intense lines, 10° ≤ 2θ ≤ 90°, by angle:
- 2θ = 13.34°, I = 24
- 2θ = 16.99°, I = 23
- 2θ = 21.06°, I = 73
- 2θ = 21.53°, I = 100
- 2θ = 22.26°, I = 61
- 2θ = 26.13°, I = 44
- 2θ = 28.34°, I = 29
- 2θ = 28.91°, I = 65
- 2θ = 29.91°, I = 19
- 2θ = 42.85°, I = 19

```
data_LiNiP2O7
_chemical_formula_sum 'Li2 Ni2 P4 O14'
_symmetry_space_group_name_H-M 'P 1 21 1'
_symmetry_Int_Tables_number 4
_cell_length_a 4.951
_cell_length_b 8.436
_cell_length_c 6.945
_cell_angle_alpha 90.00
_cell_angle_beta 107.06
_cell_angle_gamma 90.00
loop_
_symmetry_equiv_pos_as_xyz
'x,y,z'
'-x,y+1/2,-z'
loop_
_atom_site_label
_atom_site_type_symbol
_atom_site_fract_x
_atom_site_fract_y
_atom_site_fract_z
Li1 Li 0.154 0.000 0.193
Ni1 Ni 0.188 0.353 0.183
P1 P 0.190 0.297 0.555
P2 P 0.405 0.691 0.049
O1 O 0.039 0.840 0.356
O2 O 0.107 0.190 0.362
O3 O 0.210 0.836 0.996
O4 O 0.239 0.534 0.025
O5 O 0.313 0.439 0.462
O6 O 0.375 0.185 0.066
O7 O 0.438 0.202 0.712
```

---

No. 4
# Li3Ni2P5O16
Theoretical powder XRD pattern, Cu Kα (λ = 1.5418 Å). Input: a cell relaxed with PBE+U.

Most intense lines, 10° ≤ 2θ ≤ 90°, by angle:
- 2θ = 13.75°, I = 100
- 2θ = 19.56°, I = 65
- 2θ = 22.31°, I = 35
- 2θ = 22.63°, I = 73
- 2θ = 23.74°, I = 24
- 2θ = 29.53°, I = 35
- 2θ = 31.78°, I = 37
- 2θ = 32.01°, I = 27
- 2θ = 32.58°, I = 41
- 2θ = 33.27°, I = 29

```
data_Li3Ni2P5O16
_chemical_formula_sum 'Li6 Ni4 P10 O32'
_symmetry_space_group_name_H-M 'P 1 2/c 1'
_symmetry_Int_Tables_number 13
_cell_length_a 5.018
_cell_length_b 6.891
_cell_length_c 18.167
_cell_angle_alpha 90.00
_cell_angle_beta 92.29
_cell_angle_gamma 90.00
loop_
_symmetry_equiv_pos_as_xyz
'x,y,z'
'-x,-y,-z'
'-x,y,-z+1/2'
'x,-y,z+1/2'
loop_
_atom_site_label
_atom_site_type_symbol
_atom_site_fract_x
_atom_site_fract_y
_atom_site_fract_z
Li1 Li 0.000 0.016 0.250
Li2 Li 0.238 0.322 0.967
Ni1 Ni 0.234 0.176 0.410
P1 P 0.238 0.466 0.124
P2 P 0.273 0.125 0.585
P3 P 0.500 0.244 0.250
O1 O 0.059 0.448 0.393
O2 O 0.115 0.021 0.129
O3 O 0.121 0.205 0.517
O4 O 0.303 0.387 0.206
O5 O 0.306 0.313 0.642
O6 O 0.324 0.132 0.300
O7 O 0.419 0.375 0.069
O8 O 0.437 0.077 0.929
```

---

No. 5
# Li3Ni2P3O12
Theoretical powder XRD pattern, Cu Kα (λ = 1.5418 Å). Input: a cell relaxed with PBE+U.

Most intense lines, 10° ≤ 2θ ≤ 90°, by angle:
- 2θ = 14.44°, I = 64
- 2θ = 19.94°, I = 100
- 2θ = 24.17°, I = 97
- 2θ = 29.11°, I = 57
- 2θ = 31.95°, I = 79
- 2θ = 36.17°, I = 25
- 2θ = 36.78°, I = 29
- 2θ = 47.56°, I = 27
- 2θ = 52.51°, I = 27
- 2θ = 57.18°, I = 23

```
data_Li3Ni2P3O12
_chemical_formula_sum 'Li18 Ni12 P18 O72'
_symmetry_space_group_name_H-M 'R -3'
_symmetry_Int_Tables_number 148
_symmetry_space_group_name_Hall '-R 3'
_cell_length_a 8.4639
_cell_length_b 8.4639
_cell_length_c 22.4195
_cell_angle_alpha 90.00
_cell_angle_beta 90.00
_cell_angle_gamma 120.00
loop_
_atom_site_label
_atom_site_type_symbol
_atom_site_fract_x
_atom_site_fract_y
_atom_site_fract_z
Li1 Li 0.0173 0.3782 0.2146
Ni1 Ni 0.0000 0.0000 0.1492
Ni2 Ni 0.0000 0.0000 0.3567
P1 P 0.0014 0.7081 0.2493
O1 O 0.0176 0.8075 0.3085
O2 O 0.0533 0.8365 0.5871
O3 O 0.0906 0.8490 0.1967
O4 O 0.0970 0.5638 0.5692
```

---

No. 6
# LiNiP2O7
Theoretical powder XRD pattern, Cu Kα (λ = 1.5418 Å). Input: a cell relaxed with PBE+U.

Most intense lines, 10° ≤ 2θ ≤ 90°, by angle:
- 2θ = 16.87°, I = 100
- 2θ = 21.75°, I = 26
- 2θ = 22.12°, I = 47
- 2θ = 24.99°, I = 19
- 2θ = 26.40°, I = 22
- 2θ = 28.53°, I = 33
- 2θ = 28.85°, I = 51
- 2θ = 29.36°, I = 29
- 2θ = 34.12°, I = 19
- 2θ = 42.55°, I = 15

```
data_LiNiP2O7
_chemical_formula_sum 'Li2 Ni2 P4 O14'
_symmetry_space_group_name_H-M 'P 1 21 1'
_symmetry_Int_Tables_number 4
_cell_length_a 4.929
_cell_length_b 8.398
_cell_length_c 7.097
_cell_angle_alpha 90.00
_cell_angle_beta 108.37
_cell_angle_gamma 90.00
loop_
_symmetry_equiv_pos_as_xyz
'x,y,z'
'-x,y+1/2,-z'
loop_
_atom_site_label
_atom_site_type_symbol
_atom_site_fract_x
_atom_site_fract_y
_atom_site_fract_z
Li1 Li 0.168 0.000 0.149
Ni1 Ni 0.209 0.346 0.219
P1 P 0.231 0.064 0.579
P2 P 0.398 0.671 0.032
O1 O 0.021 0.503 0.362
O2 O 0.147 0.145 0.377
O3 O 0.192 0.812 0.995
O4 O 0.242 0.512 0.015
O5 O 0.400 0.173 0.092
O6 O 0.408 0.194 0.736
O7 O 0.419 0.917 0.578
```